The following is a computed powder X-ray diffraction pattern of SrCaFeO4. It was derived from a DFT-relaxed cell (GGA+U, Alexandria), using Cu Kα.
Lines closer than 0.1° are merged.

```
7
Lattice="-1.9294 1.9294 6.1102 1.9294 -1.9294 6.1102 1.9294 1.9294 -6.1102" Properties=species:S:1:pos:R:3 pbc="T T T"
Sr 0.0000 0.0000 0.0000
Ca 0.0000 0.0000 8.7233
Fe 0.0000 0.0000 4.3261
O 0.0000 0.0000 2.3883
O 1.9294 0.0000 4.2841
O 0.0000 0.0000 6.3354
O 0.0000 1.9294 4.2841
```

Main lines, sorted by position (10 to 80 degrees two-theta):
14.50°, I 32; 31.95°, I 100; 32.82°, I 80; 44.50°, I 42; 47.10°, I 48; 58.04°, I 39

The following is a computed powder X-ray diffraction pattern of CaFeTeO6. It was derived from a DFT-relaxed cell (GGA+U, Alexandria), using Cu Kα.
Lines closer than 0.1° are merged.

```
18
Lattice="5.1059 0.0000 0.0000 -2.5529 4.4218 0.0000 0.0000 0.0000 10.2380" Properties=species:S:1:pos:R:3 pbc="T T T"
Ca 0.0000 0.0000 0.0000
Ca 0.0000 0.0000 5.1190
Fe 0.0000 2.9479 2.5595
Fe 2.5529 1.4739 7.6785
Te 0.0000 2.9479 7.6785
Te 2.5529 1.4739 2.5595
O -0.9419 1.6694 1.4753
O -1.5782 2.7714 3.6437
O 0.9419 1.6694 3.6437
O -0.6363 4.4029 1.4753
O 1.9167 0.0190 6.5943
O 0.9747 1.6504 8.7627
O 1.5782 2.7714 1.4753
O 0.6363 4.4029 3.6437
O 3.1892 0.0190 8.7627
O 1.6110 2.7524 6.5943
O 4.1311 1.6504 6.5943
O 3.4949 2.7524 8.7627
```

Main lines, sorted by position (10 to 80 degrees two-theta):
17.32°, I 68; 21.90°, I 24; 26.64°, I 100; 35.14°, I 48; 39.44°, I 41; 50.49°, I 60